The following is a theoretical powder X-ray diffraction pattern of LiCa2FeN2. It was derived from a structure optimized by DFT (PBE), using Cu Kα X-rays.
Kinematic intensities with the Lorentz-polarization factor, no thermal factor.

Top 10 peaks for 2θ = 10–90°, low angle first:
- (1 0 1), 2θ 21.25, d 4.181, rel. 55.1
- (1 1 1), 2θ 27.07, d 3.294, rel. 8.2
- (2 0 0), 2θ 33.51, d 2.674, rel. 40.3
- (1 1 2), 2θ 35.80, d 2.508, rel. 100.0
- (2 1 1), 2θ 40.02, d 2.253, rel. 18.1
- (2 2 0), 2θ 48.12, d 1.891, rel. 27.2
- (0 0 4), 2θ 54.78, d 1.676, rel. 8.8
- (3 1 2), 2θ 61.40, d 1.510, rel. 36.1
- (2 0 4), 2θ 65.76, d 1.420, rel. 10.6
- (2 2 4), 2θ 75.85, d 1.254, rel. 11.8

Cell and atoms:
```
data_LiCa2FeN2
_chemical_formula_sum 'Li2 Ca4 Fe2 N4'
_cell_length_a 5.3486
_cell_length_b 5.3486
_cell_length_c 6.7035
_cell_angle_alpha 90.00
_cell_angle_beta 90.00
_cell_angle_gamma 90.00
_space_group_name_H-M_alt 'P 42/m n m'
_space_group_IT_number 136
_space_group_name_Hall '-P 4n 2n'
loop_
_atom_site_label
_atom_site_type_symbol
_atom_site_fract_x
_atom_site_fract_y
_atom_site_fract_z
_atom_site_occupancy
Li1 Li 0.0000 0.0000 0.0000 1
Ca1 Ca 0.0000 0.5000 0.2500 1
Fe1 Fe 0.0000 0.0000 0.5000 1
N1 N 0.2415 0.2415 0.5000 1
```